[1]
This entry pairs a crystal structure of Cs12Sn2Bi6O with its theoretical X-ray powder pattern. Radiation: λ = 1.5418 Å (Cu Kα). Structure: a structure optimized by DFT (PBE).
Intensities are scaled so that the largest is 100.

Structural model:
a = 13.6449 Å, b = 13.6449 Å, c = 6.5922 Å
α = 90.00°, β = 90.00°, γ = 120.00°
Space group P-3m1 (No. 164)
Asymmetric unit:
Cs: 0.0977 0.5489 0.2506 [6 per cell]
Cs: 0.1111 0.2223 0.2234 [6 per cell]
Sn: 0.3333 0.6667 0.7492 [2 per cell]
Bi: 0.2115 0.4230 0.7491 [6 per cell]
O: 0.0000 0.0000 0.0000 [1 per cell]

The 10 most intense peaks (5° ≤ 2θ ≤ 70°), by angle:
index  d/Å  I (rel.)
1 0 1  5.757  12
3 0 0  3.939  16
3 0 1  3.381  100
0 0 2  3.296  25
0 3 2  2.528  11
3 3 0  2.274  25
3 0 3  1.919  20
0 6 1  1.887  17
3 3 2  1.872  27
6 3 1  1.452  12

=====

[2]
This entry pairs a crystal structure of Cs2Bi2Pd with its theoretical X-ray powder pattern. Radiation: λ = 1.5418 Å (Cu Kα). Structure: a structure optimized by DFT (PBE).
Intensities are scaled so that the largest is 100.

Structural model:
a = 8.067 Å, b = 15.168 Å, c = 7.170 Å
α = 90.00°, β = 90.00°, γ = 90.00°
Space group Cmcm (No. 63)
Asymmetric unit:
Cs: 0.000 0.102 0.250 [4 per cell]
Cs: 0.000 0.305 0.750 [4 per cell]
Bi: 0.185 0.400 0.250 [8 per cell]
Pd: 0.000 0.500 0.000 [4 per cell]

The 10 most intense peaks (5° ≤ 2θ ≤ 70°), by angle:
index  d/Å  I (rel.)
0 2 0  7.584  24
1 1 0  7.122  47
1 3 1  3.678  74
0 0 2  3.585  47
2 2 1  3.189  100
0 4 2  2.605  36
3 1 2  2.130  34
3 5 0  2.011  52
2 2 3  1.985  26
3 5 2  1.755  24

=====

[3]
This entry pairs a crystal structure of CsBiS2 with its theoretical X-ray powder pattern. Radiation: λ = 1.5418 Å (Cu Kα). Structure: a structure optimized by DFT (PBE).
Intensities are scaled so that the largest is 100.

Structural model:
a = 8.193 Å, b = 9.595 Å, c = 7.517 Å
α = 90.00°, β = 103.29°, γ = 90.00°
Space group P2_1/c (No. 14)
Asymmetric unit:
Cs: 0.133 0.069 0.289 [4 per cell]
Bi: 0.411 0.666 0.363 [4 per cell]
S: 0.193 0.746 0.540 [4 per cell]
S: 0.330 0.091 0.806 [4 per cell]

The 10 most intense peaks (5° ≤ 2θ ≤ 70°), by angle:
index  d/Å  I (rel.)
1 0 0  7.973  38
1 2 0  4.111  34
0 2 1  4.012  84
2 1 0  3.682  52
1 0 -2  3.658  46
2 1 -1  3.611  90
0 1 2  3.417  52
2 1 1  3.040  35
1 1 2  2.924  100
1 3 -1  2.836  42

=====

[4]
This entry pairs a crystal structure of CsBi3S5 with its theoretical X-ray powder pattern. Radiation: λ = 1.5418 Å (Cu Kα). Structure: a structure optimized by DFT (PBE).
Intensities are scaled so that the largest is 100.

Structural model:
a = 12.250 Å, b = 4.121 Å, c = 21.514 Å
α = 90.00°, β = 90.00°, γ = 90.00°
Space group Pnma (No. 62)
Asymmetric unit:
Cs: 0.005 0.250 0.112 [4 per cell]
Bi: 0.130 0.250 0.646 [4 per cell]
Bi: 0.147 0.250 0.308 [4 per cell]
Bi: 0.165 0.750 0.474 [4 per cell]
S: 0.011 0.250 0.417 [4 per cell]
S: 0.015 0.750 0.260 [4 per cell]
S: 0.220 0.750 0.027 [4 per cell]
S: 0.226 0.250 0.868 [4 per cell]
S: 0.250 0.250 0.192 [4 per cell]

The 10 most intense peaks (5° ≤ 2θ ≤ 70°), by angle:
index  d/Å  I (rel.)
1 0 1  10.645  90
1 0 5  4.054  50
3 0 1  4.012  72
1 1 3  3.433  100
2 1 2  3.258  74
2 1 3  3.089  60
2 1 4  2.886  43
4 0 6  2.327  41
0 1 9  2.068  42
5 1 3  2.021  68

=====

[5]
This entry pairs a crystal structure of Cs2ZnBi2S5 with its theoretical X-ray powder pattern. Radiation: λ = 1.5418 Å (Cu Kα). Structure: a structure optimized by DFT (PBE).
Intensities are scaled so that the largest is 100.

Structural model:
a = 16.043 Å, b = 4.151 Å, c = 18.493 Å
α = 90.00°, β = 90.00°, γ = 90.00°
Space group Pnma (No. 62)
Asymmetric unit:
Cs: 0.006 0.250 0.122 [4 per cell]
Cs: 0.039 0.750 0.381 [4 per cell]
Zn: 0.206 0.250 0.856 [4 per cell]
Bi: 0.208 0.750 0.699 [4 per cell]
Bi: 0.250 0.250 0.517 [4 per cell]
S: 0.109 0.250 0.757 [4 per cell]
S: 0.134 0.750 0.563 [4 per cell]
S: 0.143 0.250 0.971 [4 per cell]
S: 0.182 0.750 0.148 [4 per cell]
S: 0.215 0.250 0.343 [4 per cell]

The 10 most intense peaks (5° ≤ 2θ ≤ 70°), by angle:
index  d/Å  I (rel.)
2 0 0  8.020  72
4 0 0  4.008  100
1 1 3  3.366  68
3 1 1  3.229  31
3 1 2  3.090  89
1 0 6  3.027  29
1 1 6  2.446  36
5 1 3  2.347  29
0 2 0  2.075  28
0 1 9  1.842  47

=====

[6]
This entry pairs a crystal structure of CsBi4Se7 with its theoretical X-ray powder pattern. Radiation: λ = 1.5418 Å (Cu Kα). Structure: a structure optimized by DFT (PBE).
Intensities are scaled so that the largest is 100.

Structural model:
a = 21.759 Å, b = 4.454 Å, c = 19.812 Å
α = 90.00°, β = 115.87°, γ = 90.00°
Space group C2/m (No. 12)
Asymmetric unit:
Cs: 0.039 0.000 0.294 [4 per cell]
Bi: 0.135 0.000 0.071 [4 per cell]
Bi: 0.161 0.500 0.900 [4 per cell]
Bi: 0.212 0.000 0.746 [4 per cell]
Bi: 0.235 0.500 0.579 [4 per cell]
Se: 0.039 0.500 0.064 [4 per cell]
Se: 0.081 0.000 0.904 [4 per cell]
Se: 0.118 0.500 0.745 [4 per cell]
Se: 0.153 0.000 0.591 [4 per cell]
Se: 0.169 0.500 0.425 [4 per cell]
Se: 0.189 0.000 0.234 [4 per cell]
Se: 0.228 0.500 0.077 [4 per cell]

The 10 most intense peaks (5° ≤ 2θ ≤ 70°), by angle:
index  d/Å  I (rel.)
2 0 0  9.789  74
4 0 1  4.268  17
2 0 -6  3.267  20
5 1 -2  3.113  100
0 0 6  2.971  35
0 2 0  2.227  23
10 0 -4  2.175  16
5 1 4  2.152  25
5 1 -8  2.147  26
0 2 6  1.782  17

=====

[7]
This entry pairs a crystal structure of CsBi3Se5 with its theoretical X-ray powder pattern. Radiation: λ = 1.5418 Å (Cu Kα). Structure: a structure optimized by DFT (PBE).
Intensities are scaled so that the largest is 100.

Structural model:
a = 23.226 Å, b = 4.220 Å, c = 12.581 Å
α = 90.00°, β = 90.00°, γ = 90.00°
Space group Pnma (No. 62)
Asymmetric unit:
Cs: 0.212 0.250 0.010 [4 per cell]
Bi: 0.024 0.250 0.136 [4 per cell]
Bi: 0.073 0.750 0.408 [4 per cell]
Bi: 0.121 0.250 0.696 [4 per cell]
Se: 0.019 0.750 0.639 [4 per cell]
Se: 0.061 0.250 0.915 [4 per cell]
Se: 0.109 0.750 0.195 [4 per cell]
Se: 0.152 0.250 0.474 [4 per cell]
Se: 0.196 0.750 0.750 [4 per cell]

The 10 most intense peaks (5° ≤ 2θ ≤ 70°), by angle:
index  d/Å  I (rel.)
2 0 0  11.613  95
2 0 3  3.944  28
4 1 1  3.295  72
2 0 4  3.033  100
3 0 4  2.914  28
6 1 1  2.782  30
0 2 0  2.110  32
3 1 5  2.082  36
8 1 3  2.077  27
11 0 2  2.003  28

=====

What is the formula in the sixth record? CsBi4Se7